Calculated powder diffraction line list of Li2Ag4Pb for Cu Kα (λ = 1.5418 Å), from a crystal structure in Alexandria, relaxed with PBE.
Kinematic intensities with the Lorentz-polarization factor, no thermal factor.

Top 6 peaks for 2θ from 10° to 80°, by angle:
| 2θ (°) | intensity |
| --- | --- |
| 18.06 | 43 |
| 25.65 | 34 |
| 32.95 | 91 |
| 36.68 | 45 |
| 37.11 | 100 |
| 42.26 | 48 |

Structural model:
```
Li2Ag4Pb
1.0
0.0000 4.8998 4.9252
2.7867 0.0000 4.9252
2.7867 4.8998 0.0000
Li Ag Pb
2 4 1
Direct
0.1967 0.8033 0.1967
0.8033 0.1967 0.8033
0.1912 0.1912 0.8088
0.2500 0.2500 0.2500
0.7500 0.7500 0.7500
0.8088 0.8088 0.1912
0.5000 0.5000 0.5000
```